1.
NdZr2Pt9: theoretical X-ray diffraction stick pattern (CuKα), based on DFT lattice parameters and positions (GGA-PBE).

Principal peaks in the range 2θ from 10° to 80°, sorted by position:
d (Å), 2θ/deg, I_rel
4.103, 21.7, 4
2.901, 30.8, 4
2.461, 36.5, 1
2.369, 38.0, 100
2.052, 44.1, 49
1.835, 49.7, 2
1.675, 54.8, 1
1.451, 64.2, 32
1.359, 69.1, 1
1.237, 77.1, 37

Crystal structure
a b c (Å): 4.104 4.104 12.307
angles (deg): 90.00 90.00 90.00
Fractional positions:
1 Nd 0.000 0.000 0.000
2 Zr 0.000 0.000 0.335
3 Zr 0.000 0.000 0.665
4 Pt 0.000 0.500 0.178
5 Pt 0.000 0.500 0.500
6 Pt 0.000 0.500 0.822
7 Pt 0.500 0.000 0.178
8 Pt 0.500 0.000 0.500
9 Pt 0.500 0.000 0.822
10 Pt 0.500 0.500 0.000
11 Pt 0.500 0.500 0.339
12 Pt 0.500 0.500 0.661

***

2.
NdPu: theoretical X-ray diffraction stick pattern (CuKα), based on DFT lattice parameters and positions (GGA-PBE).

Principal peaks in the range 2θ from 10° to 80°, sorted by position:
d (Å), 2θ/deg, I_rel
3.045, 29.3, 36
3.024, 29.5, 23
2.815, 31.8, 100
2.702, 33.2, 67
2.405, 37.4, 79
2.318, 38.9, 26
1.860, 49.0, 41
1.787, 51.1, 22
1.627, 56.6, 32
1.490, 62.3, 22

Crystal structure
a b c (Å): 3.254 3.574 9.142
angles (deg): 90.00 92.35 90.00
Fractional positions:
1 Nd 0.246 0.250 0.340
2 Nd 0.754 0.750 0.660
3 Pu 0.355 0.250 0.937
4 Pu 0.645 0.750 0.063

***

3.
NdPu3: theoretical X-ray diffraction stick pattern (CuKα), based on DFT lattice parameters and positions (GGA-PBE).

Principal peaks in the range 2θ from 10° to 80°, sorted by position:
d (Å), 2θ/deg, I_rel
4.224, 21.0, 3
2.736, 32.7, 100
2.411, 37.3, 18
2.349, 38.3, 33
1.683, 54.5, 24
1.661, 55.3, 12
1.447, 64.4, 15
1.420, 65.8, 28
1.368, 68.6, 12
1.206, 79.5, 2

Crystal structure
a b c (Å): 5.856 5.856 5.856
angles (deg): 132.70 132.70 69.13
Fractional positions:
1 Nd 0.000 0.000 0.000
2 Pu 0.250 0.750 0.500
3 Pu 0.500 0.500 0.000
4 Pu 0.750 0.250 0.500